Entry 1:
# Ba2Hg
Computed powder X-ray diffraction pattern, Cu Kα, 1.54184 Å. Input: a cell relaxed with PBE.
Peak positions follow from Bragg's law for the DFT cell and can differ from measured ones.

Structural model:
```
data_Ba2Hg
_chemical_formula_sum 'Ba4 Hg2'
_symmetry_space_group_name_H-M 'I 4/m m m'
_symmetry_Int_Tables_number 139
_symmetry_space_group_name_Hall '-I 4 2'
_cell_length_a 4.228
_cell_length_b 4.228
_cell_length_c 15.191
_cell_angle_alpha 90.00
_cell_angle_beta 90.00
_cell_angle_gamma 90.00
loop_
_atom_site_label
_atom_site_type_symbol
_atom_site_fract_x
_atom_site_fract_y
_atom_site_fract_z
Ba1 Ba 0.000 0.000 0.130
Hg1 Hg 0.000 0.000 0.500
```

Most intense lines, 2θ from 10° to 90°, low angle first:
Position (°2θ)  I (rel.)
11.65  35
27.48  100
29.89  53
36.42  37
42.78  20
51.60  35
57.44  36
89.66  16

Entry 2:
# AgAsI6
Computed powder X-ray diffraction pattern, Cu Kα, 1.54184 Å. Input: a cell relaxed with PBE.
Peak positions follow from Bragg's law for the DFT cell and can differ from measured ones.

Structural model:
```
data_AgAsI6
_chemical_formula_sum 'Ag4 As4 I24'
_symmetry_space_group_name_H-M 'F -4 3 m'
_symmetry_Int_Tables_number 216
_symmetry_space_group_name_Hall 'F -4 2 3'
_cell_length_a 10.957
_cell_length_b 10.957
_cell_length_c 10.957
_cell_angle_alpha 90.00
_cell_angle_beta 90.00
_cell_angle_gamma 90.00
loop_
_atom_site_label
_atom_site_type_symbol
_atom_site_fract_x
_atom_site_fract_y
_atom_site_fract_z
Ag1 Ag 0.000 0.000 0.000
As1 As 0.250 0.250 0.250
I1 I 0.005 0.250 0.750
```

Most intense lines, 2θ from 10° to 90°, low angle first:
Position (°2θ)  I (rel.)
16.18  22
28.21  100
32.69  73
46.91  52
55.64  43
58.35  18
78.00  23
87.16  18

Entry 3:
# Li5Au3
Computed powder X-ray diffraction pattern, Cu Kα, 1.54184 Å. Input: a cell relaxed with PBE.
Peak positions follow from Bragg's law for the DFT cell and can differ from measured ones.

Structural model:
```
data_Li5Au3
_chemical_formula_sum 'Li15 Au9'
_symmetry_space_group_name_H-M 'R 3 2'
_symmetry_Int_Tables_number 155
_symmetry_space_group_name_Hall 'R 3 2"'
_cell_length_a 7.2555
_cell_length_b 7.2555
_cell_length_c 8.3507
_cell_angle_alpha 90.00
_cell_angle_beta 90.00
_cell_angle_gamma 120.00
loop_
_atom_site_label
_atom_site_type_symbol
_atom_site_fract_x
_atom_site_fract_y
_atom_site_fract_z
Li1 Li 0.0000 0.0000 0.1908
Li2 Li 0.0000 0.2631 0.5000
Au1 Au 0.0000 0.6862 0.0000
```

Most intense lines, 2θ from 10° to 90°, low angle first:
Position (°2θ)  I (rel.)
24.54  100
32.16  17
40.86  58
43.19  24
50.30  14
54.86  21
60.97  16
77.62  15

Entry 4:
# ScAs2AuO7
Computed powder X-ray diffraction pattern, Cu Kα, 1.54184 Å. Input: a cell relaxed with PBE.
Peak positions follow from Bragg's law for the DFT cell and can differ from measured ones.

Structural model:
```
data_ScAs2AuO7
_chemical_formula_sum 'Sc2 As4 Au2 O14'
_symmetry_space_group_name_H-M 'C 1 2 1'
_symmetry_Int_Tables_number 5
_cell_length_a 7.094
_cell_length_b 8.667
_cell_length_c 4.916
_cell_angle_alpha 90.00
_cell_angle_beta 101.25
_cell_angle_gamma 90.00
loop_
_symmetry_equiv_pos_as_xyz
'x,y,z'
'-x,y,-z'
'x+1/2,y+1/2,z'
'-x+1/2,y+1/2,-z'
loop_
_atom_site_label
_atom_site_type_symbol
_atom_site_fract_x
_atom_site_fract_y
_atom_site_fract_z
Sc1 Sc 0.000 0.000 0.000
As1 As 0.210 0.668 0.419
Au1 Au 0.000 0.397 0.000
O1 O 0.000 0.581 0.500
O2 O 0.127 0.179 0.280
O3 O 0.150 0.839 0.265
O4 O 0.230 0.029 0.798
```

Most intense lines, 2θ from 10° to 90°, low angle first:
Position (°2θ)  I (rel.)
16.34  51
22.73  26
26.53  44
27.68  100
28.56  65
33.02  53
37.29  25
46.43  24

Entry 5:
# InCuOsSeS2
Computed powder X-ray diffraction pattern, Cu Kα, 1.54184 Å. Input: a cell relaxed with PBE.
Peak positions follow from Bragg's law for the DFT cell and can differ from measured ones.

Structural model:
```
data_InCuOsSeS2
_chemical_formula_sum 'In4 Cu4 Os4 Se4 S8'
_symmetry_space_group_name_H-M 'C m c m'
_symmetry_Int_Tables_number 63
_symmetry_space_group_name_Hall '-C 2c 2'
_cell_length_a 3.675
_cell_length_b 13.764
_cell_length_c 9.437
_cell_angle_alpha 90.00
_cell_angle_beta 90.00
_cell_angle_gamma 90.00
loop_
_atom_site_label
_atom_site_type_symbol
_atom_site_fract_x
_atom_site_fract_y
_atom_site_fract_z
In1 In 0.000 0.205 0.250
Cu1 Cu 0.000 0.149 0.750
Os1 Os 0.000 0.500 0.000
Se1 Se 0.000 0.446 0.750
S1 S 0.000 0.112 0.526
```

Most intense lines, 2θ from 10° to 90°, low angle first:
Position (°2θ)  I (rel.)
12.86  44
22.85  78
31.19  100
32.63  31
38.15  43
40.45  21
45.43  53
50.06  49